Record 1
Fe3Br2: computed X-ray powder pattern (Cu Kα, 1.54184 Å), based on DFT lattice parameters and positions (GGA-PBE).

Peak list (10 most intense, 5° ≤ 2θ ≤ 70°, by angle)
9.46°, d = 9.347 Å, I 13
18.99°, d = 4.674 Å, I 8
28.65°, d = 3.116 Å, I 6
30.37°, d = 2.943 Å, I 9
31.88°, d = 2.807 Å, I 14
36.06°, d = 2.490 Å, I 100
49.83°, d = 1.830 Å, I 37
53.96°, d = 1.699 Å, I 28
59.32°, d = 1.558 Å, I 7
66.63°, d = 1.404 Å, I 15

Structural model:
Cell: 3.3985 3.3985 9.3470 Å, 90.00 90.00 120.00°
Element x y z (fractional)
Fe1 0.0000 0.0000 0.0000
Fe2 0.3333 0.6667 0.1602
Fe3 0.6667 0.3333 0.8398
Br1 0.3333 0.6667 0.6682
Br2 0.6667 0.3333 0.3318



Record 2
Fe5Br3: computed X-ray powder pattern (Cu Kα, 1.54184 Å), based on DFT lattice parameters and positions (GGA-PBE).

Peak list (10 most intense, 5° ≤ 2θ ≤ 70°, by angle)
12.09°, d = 7.320 Å, I 49
28.87°, d = 3.093 Å, I 100
29.21°, d = 3.058 Å, I 81
31.72°, d = 2.821 Å, I 39
39.98°, d = 2.255 Å, I 43
41.92°, d = 2.155 Å, I 48
42.69°, d = 2.118 Å, I 44
44.87°, d = 2.020 Å, I 53
45.16°, d = 2.008 Å, I 36
47.35°, d = 1.920 Å, I 42

Structural model:
Cell: 9.3298 8.1581 6.8144 Å, 76.51 58.24 45.25°
Element x y z (fractional)
Fe1 0.0346 0.6245 0.7603
Fe2 0.2171 0.2171 0.7829
Fe3 0.2397 0.4193 0.9654
Fe4 0.3755 0.9654 0.4193
Fe5 0.4193 0.2397 0.3755
Fe6 0.5807 0.7603 0.6245
Fe7 0.6245 0.0346 0.5807
Fe8 0.7603 0.5807 0.0346
Fe9 0.7829 0.7829 0.2171
Fe10 0.9654 0.3755 0.2397
Br1 0.1055 0.6602 0.3398
Br2 0.2616 0.7384 0.7384
Br3 0.3398 0.8945 0.1055
Br4 0.6602 0.1055 0.8945
Br5 0.7384 0.2616 0.2616
Br6 0.8945 0.3398 0.6602



Record 3
Fe3Br: computed X-ray powder pattern (Cu Kα, 1.54184 Å), based on DFT lattice parameters and positions (GGA-PBE).

Peak list (10 most intense, 5° ≤ 2θ ≤ 70°, by angle)
29.07°, d = 3.072 Å, I 3
31.77°, d = 2.816 Å, I 15
40.24°, d = 2.241 Å, I 66
40.91°, d = 2.206 Å, I 100
44.23°, d = 2.048 Å, I 6
53.26°, d = 1.720 Å, I 5
58.22°, d = 1.585 Å, I 21
60.26°, d = 1.536 Å, I 4
61.32°, d = 1.512 Å, I 8
67.83°, d = 1.382 Å, I 9

Structural model:
Cell: 3.1691 3.1691 6.1438 Å, 90.00 90.00 90.00°
Element x y z (fractional)
Fe1 0.0000 0.0000 0.0000
Fe2 0.5000 0.5000 0.1949
Fe3 0.5000 0.5000 0.8051
Br1 0.0000 0.0000 0.5000



Record 4
GaFe2Br8: computed X-ray powder pattern (Cu Kα, 1.54184 Å), based on DFT lattice parameters and positions (GGA-PBE).

Peak list (10 most intense, 5° ≤ 2θ ≤ 70°, by angle)
11.40°, d = 7.760 Å, I 89
18.00°, d = 4.928 Å, I 42
18.22°, d = 4.870 Å, I 33
26.23°, d = 3.397 Å, I 100
27.51°, d = 3.243 Å, I 46
27.67°, d = 3.224 Å, I 42
36.85°, d = 2.439 Å, I 31
39.32°, d = 2.291 Å, I 35
41.40°, d = 2.181 Å, I 39
45.40°, d = 1.998 Å, I 40

Structural model:
Cell: 8.0060 8.0060 6.5022 Å, 93.28 93.28 75.99°
Element x y z (fractional)
Ga1 0.0000 0.0000 0.0000
Fe1 0.1917 0.1917 0.6279
Fe2 0.8083 0.8083 0.3721
Br1 0.0871 0.7291 0.2176
Br2 0.1784 0.1784 0.2604
Br3 0.2709 0.9129 0.7824
Br4 0.3686 0.3686 0.7373
Br5 0.6314 0.6314 0.2627
Br6 0.7291 0.0871 0.2176
Br7 0.8216 0.8216 0.7396
Br8 0.9129 0.2709 0.7824